This entry pairs a crystal structure of Sm2ErThSb5 with its simulated powder XRD pattern. Radiation: a wavelength of 1.5418 Å. Structure: a DFT-relaxed cell (PBE, Alexandria).
Intensities are scaled so that the largest is 1000.

Crystal structure
```
Sm2ErThSb5
1.0
5.218 0.000 0.000
0.000 5.218 0.000
0.000 0.000 11.841
Sm Er Th Sb
2 1 1 5
Cartesian
0.000 0.000 2.545
0.000 0.000 9.296
2.609 2.609 0.000
2.609 2.609 5.920
0.000 0.000 5.920
0.000 2.609 0.000
2.609 0.000 0.000
2.609 2.609 2.961
2.609 2.609 8.879
```

Main lines, sorted by position (2θ from 5° to 70°):
24.12°, 3.690 Å, rel. 967
30.19°, 2.960 Å, rel. 591
33.24°, 2.695 Å, rel. 478
34.37°, 2.609 Å, rel. 1000
39.01°, 2.309 Å, rel. 415
46.39°, 1.957 Å, rel. 723

=====

This entry pairs a crystal structure of La4Pb6O19 with its simulated powder XRD pattern. Radiation: a wavelength of 1.5418 Å. Structure: a DFT-relaxed cell (PBE, Alexandria).
Intensities are scaled so that the largest is 1000.

Crystal structure
```
La4Pb6O19
1.0
-4.917 4.917 4.917
4.917 -4.917 4.917
4.917 4.917 -4.917
La Pb O
4 6 19
Cartesian
3.484 3.484 -3.484
3.484 -3.484 3.484
1.433 1.433 1.433
-3.484 3.484 3.484
4.917 0.000 1.650
4.917 3.266 0.000
1.650 4.917 0.000
3.266 0.000 4.917
0.000 1.650 4.917
0.000 4.917 3.266
0.000 0.000 0.000
3.393 0.000 0.000
6.441 0.000 0.000
4.507 2.141 -1.813
6.729 -0.410 2.776
2.141 -1.813 4.507
3.104 0.410 2.776
0.000 3.393 0.000
0.000 0.000 3.393
2.776 3.104 0.410
5.326 2.141 1.813
0.410 2.776 3.104
2.776 6.729 -0.410
0.000 6.441 0.000
0.000 0.000 6.441
-1.813 4.507 2.141
2.141 1.813 5.326
1.813 5.326 2.141
-0.410 2.776 6.729
```

Main lines, sorted by position (2θ from 5° to 70°):
18.04°, 4.917 Å, rel. 227
22.14°, 4.014 Å, rel. 353
28.71°, 3.110 Å, rel. 1000
34.12°, 2.628 Å, rel. 707
47.13°, 1.928 Å, rel. 500
56.12°, 1.639 Å, rel. 266